La2GaCo3: simulated X-ray diffraction stick pattern (Cu Kα X-rays), based on a PBE-relaxed structure.

abc: 4.0998 4.0998 16.7638
angles: 90.00 90.00 120.00
Atoms (fractional coordinates):
1 La 0.0000 0.0000 0.1206
2 La 0.0000 0.0000 0.3794
3 La 0.0000 0.0000 0.6206
4 La 0.0000 0.0000 0.8794
5 Ga 0.3333 0.6667 0.2500
6 Ga 0.6667 0.3333 0.7500
7 Co 0.3333 0.6667 0.0013
8 Co 0.3333 0.6667 0.4987
9 Co 0.3333 0.6667 0.7500
10 Co 0.6667 0.3333 0.2500
11 Co 0.6667 0.3333 0.5013
12 Co 0.6667 0.3333 0.9987

Top 6 peaks for 10° ≤ 2θ ≤ 90°, low angle first:
33.07 deg, d 2.709, I 100; 43.17 deg, d 2.095, I 14; 44.18 deg, d 2.050, I 39; 56.28 deg, d 1.635, I 21; 63.48 deg, d 1.465, I 25; 74.20 deg, d 1.278, I 18